Entry 1:
CoP2PbO7: theoretical powder diffractogram (CuKα), based on a GGA+U-relaxed structure.

Peak list (12 most intense, 5 to 70 degrees two-theta, sorted by position)
| 2theta | intensity |
| --- | --- |
| 13.6 | 80 |
| 17.7 | 40 |
| 22.3 | 25 |
| 26.4 | 100 |
| 26.9 | 63 |
| 27.7 | 44 |
| 28.4 | 54 |
| 29.6 | 35 |
| 30.2 | 54 |
| 33.1 | 36 |
| 43.1 | 32 |
| 56.2 | 27 |

Atomic structure:
```
CoP2PbO7
1.0
5.4144 0.0000 0.0000
0.0000 8.3956 0.0000
-5.3651 0.0000 13.0102
Co P Pb O
4 8 4 28
Direct
0.0745 0.1491 0.3951
0.0745 0.3509 0.8951
0.9255 0.6491 0.1049
0.9255 0.8509 0.6049
0.0852 0.5364 0.3345
0.0852 0.9636 0.8345
0.2967 0.6994 0.9806
0.2967 0.8006 0.4806
0.7033 0.1994 0.5194
0.7033 0.3006 0.0194
0.9148 0.0364 0.1655
0.9148 0.4636 0.6655
0.4315 0.1711 0.7222
0.4315 0.3289 0.2222
0.5685 0.6711 0.7778
0.5685 0.8289 0.2778
0.0782 0.5966 0.9008
0.0782 0.9034 0.4008
0.1682 0.1391 0.8475
0.1682 0.3609 0.3475
0.2019 0.6178 0.2623
0.2019 0.8822 0.7623
0.2168 0.0615 0.2010
0.2168 0.4385 0.7010
0.2235 0.6157 0.4472
0.2235 0.8843 0.9472
0.2844 0.6887 0.0878
0.2844 0.8113 0.5878
0.4264 0.1679 0.5220
0.4264 0.3321 0.0220
0.5736 0.6679 0.9780
0.5736 0.8321 0.4780
0.7156 0.1887 0.4122
0.7156 0.3113 0.9122
0.7765 0.1157 0.0528
0.7765 0.3843 0.5528
0.7832 0.5615 0.2990
0.7832 0.9385 0.7990
0.7981 0.1178 0.2377
0.7981 0.3822 0.7377
0.8318 0.6391 0.6525
0.8318 0.8609 0.1525
0.9218 0.0966 0.5992
0.9218 0.4034 0.0992
```



Entry 2:
Co3SbP4O16: theoretical powder diffractogram (CuKα), based on a GGA+U-relaxed structure.

Peak list (12 most intense, 5 to 70 degrees two-theta, sorted by position)
| 2theta | intensity |
| --- | --- |
| 17.8 | 72 |
| 20.2 | 60 |
| 25.1 | 100 |
| 29.6 | 20 |
| 29.9 | 61 |
| 35.9 | 82 |
| 36.3 | 22 |
| 48.0 | 16 |
| 50.2 | 15 |
| 51.6 | 23 |
| 57.0 | 20 |
| 59.3 | 16 |

Atomic structure:
```
Co3SbP4O16
1.0
4.9042 0.0000 0.0000
0.0000 5.9840 0.0000
-0.0285 0.0000 9.9693
Co Sb P O
3 1 4 16
Direct
0.0000 0.0000 0.0000
0.0949 0.5000 0.5440
0.5182 0.5000 0.0325
0.5892 0.0000 0.4810
0.1611 0.0000 0.6700
0.4532 0.0000 0.1625
0.6218 0.5000 0.3528
0.9513 0.5000 0.8676
0.2018 0.0000 0.8178
0.2615 0.5000 0.8938
0.3114 0.2054 0.0996
0.3114 0.7946 0.0996
0.3158 0.1969 0.5918
0.3158 0.8031 0.5918
0.3200 0.5000 0.3807
0.3599 0.0000 0.3217
0.7044 0.5000 0.2070
0.7612 0.0000 0.1639
0.7752 0.2970 0.4321
0.7752 0.7030 0.4321
0.8027 0.2984 0.9364
0.8027 0.7016 0.9364
0.8485 0.0000 0.6348
0.9062 0.5000 0.7154
```



Entry 3:
CoSb3P6O24: theoretical powder diffractogram (CuKα), based on a GGA+U-relaxed structure.

Peak list (12 most intense, 5 to 70 degrees two-theta, sorted by position)
| 2theta | intensity |
| --- | --- |
| 14.4 | 42 |
| 20.1 | 100 |
| 20.8 | 72 |
| 24.1 | 57 |
| 29.1 | 64 |
| 32.2 | 55 |
| 36.0 | 27 |
| 36.4 | 26 |
| 47.2 | 18 |
| 49.3 | 17 |
| 53.0 | 21 |
| 56.9 | 18 |

Atomic structure:
```
CoSb3P6O24
1.0
4.2803 2.4713 7.3149
-4.2803 2.4713 7.3149
0.0000 -4.9425 7.3149
Co Sb P O
1 3 6 24
Direct
0.0000 0.0000 0.0000
0.2872 0.2872 0.2872
0.5006 0.5006 0.5006
0.7874 0.7874 0.7874
0.1038 0.6897 0.3858
0.1792 0.6144 0.8962
0.3858 0.1038 0.6897
0.6144 0.8962 0.1792
0.6897 0.3858 0.1038
0.8962 0.1792 0.6144
0.0113 0.6276 0.8691
0.0674 0.2038 0.4246
0.0834 0.8659 0.2142
0.1292 0.5076 0.3733
0.1541 0.7827 0.9210
0.2038 0.4246 0.0674
0.2142 0.0834 0.8659
0.2762 0.6588 0.4196
0.3627 0.5848 0.7206
0.3733 0.1292 0.5076
0.4196 0.2762 0.6588
0.4246 0.0674 0.2038
0.5076 0.3733 0.1292
0.5698 0.9262 0.7010
0.5848 0.7206 0.3627
0.6276 0.8691 0.0113
0.6588 0.4196 0.2762
0.7010 0.5698 0.9262
0.7206 0.3627 0.5848
0.7827 0.9210 0.1541
0.8659 0.2142 0.0834
0.8691 0.0113 0.6276
0.9210 0.1541 0.7827
0.9262 0.7010 0.5698
```



Entry 4:
Ti3Co2SbP6O24: theoretical powder diffractogram (CuKα), based on a GGA+U-relaxed structure.

Peak list (12 most intense, 5 to 70 degrees two-theta, sorted by position)
| 2theta | intensity |
| --- | --- |
| 20.2 | 100 |
| 20.5 | 15 |
| 23.9 | 99 |
| 24.9 | 17 |
| 31.4 | 15 |
| 32.7 | 83 |
| 35.4 | 45 |
| 46.8 | 32 |
| 48.9 | 31 |
| 55.3 | 26 |
| 55.9 | 16 |
| 61.8 | 22 |

Atomic structure:
```
Ti3Co2SbP6O24
1.0
4.3919 2.5357 7.0108
-4.3919 2.5357 7.0108
0.0000 -5.0714 7.0108
Ti Co Sb P O
3 2 1 6 24
Direct
0.0000 0.0000 0.0000
0.2123 0.2123 0.2123
0.7116 0.7116 0.7116
0.3553 0.3553 0.3553
0.8567 0.8567 0.8567
0.5013 0.5013 0.5013
0.0938 0.8219 0.3984
0.3051 0.6041 0.9131
0.3984 0.0938 0.8219
0.6041 0.9131 0.3051
0.8219 0.3984 0.0938
0.9131 0.3051 0.6041
0.0147 0.8846 0.2448
0.1038 0.2969 0.4425
0.1160 0.7664 0.9397
0.1646 0.9789 0.3547
0.2448 0.0147 0.8846
0.2486 0.6310 0.3988
0.2969 0.4425 0.1038
0.3178 0.5434 0.7687
0.3547 0.1646 0.9789
0.3988 0.2486 0.6310
0.4425 0.1038 0.2969
0.4782 0.6606 0.8505
0.5434 0.7687 0.3178
0.5926 0.9368 0.8041
0.6310 0.3988 0.2486
0.6606 0.8505 0.4782
0.7664 0.9397 0.1160
0.7687 0.3178 0.5434
0.8041 0.5926 0.9368
0.8505 0.4782 0.6606
0.8846 0.2448 0.0147
0.9368 0.8041 0.5926
0.9397 0.1160 0.7664
0.9789 0.3547 0.1646
```



Entry 5:
Sr2ScCoPO3: theoretical powder diffractogram (CuKα), based on a GGA+U-relaxed structure.

Peak list (12 most intense, 5 to 70 degrees two-theta, sorted by position)
| 2theta | intensity |
| --- | --- |
| 5.8 | 11 |
| 22.7 | 20 |
| 29.1 | 13 |
| 31.3 | 36 |
| 31.8 | 20 |
| 32.1 | 100 |
| 36.0 | 21 |
| 39.3 | 31 |
| 44.8 | 56 |
| 56.2 | 39 |
| 57.8 | 23 |
| 65.2 | 17 |

Atomic structure:
```
Sr2ScCoPO3
1.0
4.0474 0.0000 0.0000
0.0000 4.0474 0.0000
0.0000 0.0000 15.3570
Sr Sc Co P O
4 2 2 2 6
Direct
0.2500 0.2500 0.0883
0.2500 0.2500 0.3241
0.7500 0.7500 0.6759
0.7500 0.7500 0.9117
0.2500 0.2500 0.8019
0.7500 0.7500 0.1981
0.2500 0.7500 0.5000
0.7500 0.2500 0.5000
0.2500 0.2500 0.5625
0.7500 0.7500 0.4375
0.2500 0.2500 0.9317
0.2500 0.7500 0.2208
0.2500 0.7500 0.7792
0.7500 0.2500 0.2208
0.7500 0.2500 0.7792
0.7500 0.7500 0.0683
```



Entry 6:
Co2SiP4O14: theoretical powder diffractogram (CuKα), based on a GGA+U-relaxed structure.

Peak list (12 most intense, 5 to 70 degrees two-theta, sorted by position)
| 2theta | intensity |
| --- | --- |
| 10.6 | 67 |
| 20.3 | 8 |
| 23.9 | 25 |
| 26.1 | 100 |
| 27.9 | 10 |
| 29.5 | 23 |
| 30.1 | 23 |
| 31.7 | 16 |
| 33.7 | 18 |
| 35.6 | 9 |
| 48.3 | 8 |
| 65.8 | 9 |

Atomic structure:
```
Co2SiP4O14
1.0
8.5526 -2.5120 0.0000
8.5526 2.5120 0.0000
-2.8083 0.0000 12.1015
Co Si P O
4 2 8 28
Direct
0.0956 0.3978 0.1299
0.3978 0.0956 0.6299
0.6022 0.9044 0.3701
0.9044 0.6022 0.8701
0.1507 0.8493 0.2500
0.8493 0.1507 0.7500
0.0310 0.6977 0.5846
0.2348 0.5133 0.3645
0.3023 0.9690 0.9154
0.4867 0.7652 0.1355
0.5133 0.2348 0.8645
0.6977 0.0310 0.0846
0.7652 0.4867 0.6355
0.9690 0.3023 0.4154
0.0032 0.3825 0.7045
0.0237 0.1019 0.3319
0.1019 0.0237 0.8319
0.1250 0.6869 0.4826
0.1679 0.2373 0.9535
0.2074 0.5046 0.8791
0.2373 0.1679 0.4535
0.2708 0.4178 0.6311
0.2968 0.6115 0.3213
0.3131 0.8750 0.0174
0.3825 0.0032 0.2045
0.3885 0.7032 0.1787
0.4178 0.2708 0.1311
0.4954 0.7926 0.6209
0.5046 0.2074 0.3791
0.5822 0.7292 0.8689
0.6115 0.2968 0.8213
0.6175 0.9968 0.7955
0.6869 0.1250 0.9826
0.7032 0.3885 0.6787
0.7292 0.5822 0.3689
0.7627 0.8321 0.5465
0.7926 0.4954 0.1209
0.8321 0.7627 0.0465
0.8750 0.3131 0.5174
0.8981 0.9763 0.1681
0.9763 0.8981 0.6681
0.9968 0.6175 0.2955
```



Entry 7:
V3CoSn2P6O24: theoretical powder diffractogram (CuKα), based on a GGA+U-relaxed structure.

Peak list (12 most intense, 5 to 70 degrees two-theta, sorted by position)
| 2theta | intensity |
| --- | --- |
| 14.3 | 16 |
| 20.7 | 100 |
| 24.0 | 66 |
| 25.3 | 28 |
| 31.8 | 98 |
| 32.9 | 22 |
| 36.3 | 35 |
| 43.9 | 19 |
| 45.8 | 27 |
| 49.1 | 33 |
| 56.9 | 25 |
| 62.5 | 22 |

Atomic structure:
```
V3CoSn2P6O24
1.0
4.2840 2.4734 7.4549
-4.2840 2.4734 7.4549
0.0000 -4.9468 7.4549
V Co Sn P O
3 1 2 6 24
Direct
0.0000 0.0000 0.0000
0.2072 0.2072 0.2072
0.7040 0.7040 0.7040
0.5013 0.5013 0.5013
0.3612 0.3612 0.3612
0.8526 0.8526 0.8526
0.1021 0.8173 0.3892
0.3165 0.6014 0.8863
0.3892 0.1021 0.8173
0.6014 0.8863 0.3165
0.8173 0.3892 0.1021
0.8863 0.3165 0.6014
0.0608 0.8497 0.2258
0.0733 0.2891 0.4292
0.1319 0.7764 0.9187
0.1373 0.9829 0.3596
0.2258 0.0608 0.8497
0.2774 0.6317 0.4106
0.2891 0.4292 0.0733
0.3378 0.5728 0.7217
0.3596 0.1373 0.9829
0.4106 0.2774 0.6317
0.4292 0.0733 0.2891
0.4823 0.6368 0.8595
0.5728 0.7217 0.3378
0.5737 0.9264 0.7920
0.6317 0.4106 0.2774
0.6368 0.8595 0.4823
0.7217 0.3378 0.5728
0.7764 0.9187 0.1319
0.7920 0.5737 0.9264
0.8497 0.2258 0.0608
0.8595 0.4823 0.6368
0.9187 0.1319 0.7764
0.9264 0.7920 0.5737
0.9829 0.3596 0.1373
```



Entry 8:
V3CoSn2P6O24: theoretical powder diffractogram (CuKα), based on a GGA+U-relaxed structure.

Peak list (12 most intense, 5 to 70 degrees two-theta, sorted by position)
| 2theta | intensity |
| --- | --- |
| 21.0 | 100 |
| 24.0 | 47 |
| 24.1 | 23 |
| 25.5 | 24 |
| 31.4 | 65 |
| 31.6 | 32 |
| 33.2 | 16 |
| 36.7 | 16 |
| 36.8 | 22 |
| 49.1 | 22 |
| 57.6 | 14 |
| 57.7 | 12 |

Atomic structure:
```
V3CoSn2P6O24
1.0
8.4529 0.0000 0.0000
-4.2055 7.3426 0.0000
-4.1796 -2.4706 7.6705
V Co Sn P O
3 1 2 6 24
Direct
0.0000 0.0000 0.0000
0.0157 0.5076 0.5212
0.6010 0.3000 0.9005
0.6184 0.8073 0.4265
0.2753 0.1373 0.4250
0.3497 0.6750 0.0258
0.0837 0.6872 0.2091
0.0960 0.9044 0.7069
0.5163 0.6115 0.7069
0.5244 0.4003 0.2126
0.8034 0.1877 0.7081
0.8094 0.1229 0.2084
0.0521 0.7032 0.6741
0.0696 0.6716 0.3717
0.0952 0.9339 0.8801
0.1209 0.8851 0.1895
0.2746 0.6842 0.2289
0.3103 0.2386 0.1956
0.3126 0.6088 0.6648
0.3257 0.0567 0.7515
0.4795 0.4233 0.7475
0.5047 0.3478 0.0402
0.5463 0.6193 0.5546
0.5482 0.5949 0.2353
0.6295 0.0011 0.5599
0.6370 0.9532 0.2303
0.6875 0.2615 0.7486
0.6904 0.1548 0.0370
0.7090 0.7836 0.8777
0.7104 0.4079 0.3724
0.8793 0.5357 0.0374
0.9390 0.9298 0.5568
0.9509 0.0654 0.1883
0.9505 0.1672 0.8833
0.9624 0.3464 0.6699
0.9684 0.3000 0.3686
```